Entry 1:
Diffraction record for SrH16O10. The XRD peak list is simulated, not measured: it uses a PBE-relaxed structure and λ = 1.5418 Å (Cu Kα).
Neutral-atom scattering factors, no anomalous dispersion.

Main lines, low angle first (10 to 90 degrees two-theta):
- 2θ = 13.42°, I 100
- 2θ = 15.89°, I 73
- 2θ = 17.51°, I 53
- 2θ = 19.28°, I 31
- 2θ = 20.88°, I 52
- 2θ = 25.98°, I 59
- 2θ = 27.79°, I 28
- 2θ = 29.37°, I 60
- 2θ = 38.37°, I 41
- 2θ = 39.13°, I 33
- 2θ = 41.28°, I 51
- 2θ = 45.39°, I 30

Structural model:
```
SrH16O10
1.0
5.1968 -4.3489 0.0000
5.1968 4.3489 0.0000
-2.5729 0.0000 11.1514
Sr H O
2 32 20
Cartesian
3.9104 4.2910 5.5757
5.1968 -4.2910 0.0000
2.1534 2.4117 3.8228
0.9658 1.2171 3.9705
2.5798 1.4884 0.9607
2.2020 1.9514 6.0825
2.1151 0.8314 2.3032
2.8623 2.4602 8.4632
5.4591 2.4965 3.1746
2.9414 1.5853 9.7737
-0.3206 -1.2171 9.5462
3.5142 1.2556 6.5874
0.8286 -0.8314 7.8788
3.1530 0.3657 4.5634
4.9018 1.5834 4.3108
5.7743 1.3668 1.0868
6.9132 2.4024 1.6015
1.2933 -1.4884 6.5364
1.8665 -0.3657 10.1391
0.8670 -2.4117 9.3985
3.4884 -1.9514 0.5069
4.8006 -1.2556 1.0117
5.9809 0.5016 6.3628
4.2278 -1.5853 4.1980
5.4132 0.2840 9.3216
4.4878 -1.3668 6.6625
6.7737 0.7234 7.6839
4.1488 -2.4602 2.8876
3.6153 -1.5834 9.8864
6.6996 -0.2840 3.7459
7.2673 -0.5016 0.7871
4.1727 -2.4965 8.7503
8.0601 -0.7234 2.1082
5.6268 -2.4024 7.1772
1.9501 1.2326 3.9438
2.1356 0.6832 1.3079
2.9360 2.1208 6.7083
3.0293 2.5279 9.4381
5.2562 2.4951 4.1446
0.8492 -0.6832 6.8836
5.9545 2.3430 1.4350
0.6636 -1.2326 9.5195
4.1082 0.0170 4.7070
2.8217 -0.0170 10.2827
4.3287 0.0470 6.1733
5.6152 -0.0470 0.5976
4.2225 -2.1208 1.1326
6.9023 0.7499 6.6822
6.2782 0.7281 9.2979
4.3157 -2.5279 3.8624
4.6680 -2.3430 7.0106
3.9697 -2.4951 9.7203
7.5647 -0.7281 3.7222
8.1888 -0.7499 1.1065
```

Entry 2:
Diffraction record for SrH16O10. The XRD peak list is simulated, not measured: it uses a PBE-relaxed structure and λ = 1.5418 Å (Cu Kα).
Neutral-atom scattering factors, no anomalous dispersion.

Main lines, low angle first (10 to 90 degrees two-theta):
- 2θ = 13.25°, I 71
- 2θ = 13.54°, I 66
- 2θ = 18.48°, I 97
- 2θ = 19.48°, I 100
- 2θ = 19.70°, I 64
- 2θ = 19.97°, I 63
- 2θ = 20.32°, I 69
- 2θ = 20.44°, I 67
- 2θ = 34.01°, I 47
- 2θ = 34.53°, I 37
- 2θ = 37.47°, I 53
- 2θ = 39.56°, I 52

Structural model:
```
SrH16O10
1.0
5.9387 0.0000 0.0000
0.1626 6.5488 0.0000
0.2166 0.3486 6.6808
Sr H O
1 16 10
Cartesian
0.0000 0.0000 0.0000
1.7506 4.6306 4.5136
1.7972 4.6434 2.3641
1.7362 0.6507 2.0952
1.9440 2.6139 6.1931
2.0136 2.5407 4.5826
1.9631 2.2526 2.3062
2.7288 5.4527 5.3462
2.7134 5.3788 1.3872
3.6045 1.5186 5.2936
3.5891 1.4447 1.3346
4.3548 4.6448 4.3746
4.3043 4.3567 2.0982
4.3739 4.2835 0.4877
4.5817 6.2467 4.5856
4.5206 2.2540 4.3167
4.5673 2.2668 2.1671
1.7516 5.2908 5.2596
1.7732 5.4163 1.7153
1.8619 1.9831 5.4552
1.7794 1.5127 1.6144
2.3812 3.3731 3.3448
3.9367 3.5243 3.3360
4.5385 5.3847 5.0664
4.4560 4.9143 1.2256
4.5447 1.4811 4.9655
4.5662 1.6066 1.4212
```

Entry 3:
Diffraction record for SrH16O10. The XRD peak list is simulated, not measured: it uses a PBE-relaxed structure and λ = 1.5418 Å (Cu Kα).
Neutral-atom scattering factors, no anomalous dispersion.

Main lines, low angle first (10 to 90 degrees two-theta):
- 2θ = 13.65°, I 100
- 2θ = 15.61°, I 85
- 2θ = 18.36°, I 47
- 2θ = 20.11°, I 32
- 2θ = 22.99°, I 47
- 2θ = 25.32°, I 32
- 2θ = 25.70°, I 68
- 2θ = 30.85°, I 56
- 2θ = 37.77°, I 30
- 2θ = 40.87°, I 31
- 2θ = 42.76°, I 27
- 2θ = 45.51°, I 32

Structural model:
```
SrH16O10
1.0
4.8540 -4.3761 0.0000
4.8540 4.3761 0.0000
-1.0958 0.0000 11.3570
Sr H O
2 32 20
Cartesian
4.3061 4.2743 5.6785
4.8540 -4.2743 0.0000
2.5321 2.4228 6.7400
2.5006 1.4660 1.0705
2.0759 0.8147 2.4340
3.3673 2.4283 8.8653
3.5261 1.5189 10.1602
5.3632 3.0345 9.7314
3.7654 1.3236 6.8775
5.4914 2.4146 3.3192
3.2114 0.4417 4.8582
1.5279 -0.8147 8.1125
6.4740 2.6713 1.4834
5.0094 1.4949 4.4905
5.3861 1.4659 1.1861
2.6635 -0.4417 10.5367
1.9526 -1.4660 6.7490
6.6100 1.8750 9.7341
3.0801 -2.4228 1.0616
4.3133 -1.3236 1.1990
6.0902 0.5781 6.6376
4.0741 -1.5189 4.4817
5.9072 0.3583 9.8813
7.0146 0.7908 7.8996
3.9153 -2.4283 3.1869
4.4615 -1.4949 10.1690
4.8382 -1.4659 6.8646
6.4551 -0.3583 4.2029
6.6382 -0.5781 0.9591
4.9435 -2.4146 8.9977
7.5626 -0.7908 2.2211
5.9261 -2.6713 7.1619
7.1579 -1.8750 4.0557
5.9112 -3.0345 4.0530
2.0316 1.1887 4.0392
2.0388 0.6686 1.4295
3.4005 2.2842 7.1440
3.5546 2.4633 9.8459
1.4909 -0.6686 7.1080
5.5292 2.4363 1.4963
5.4227 2.3743 4.3035
1.4837 -1.1887 9.7177
4.1711 0.0788 4.9812
3.6232 -0.0788 10.6596
4.4759 0.0722 6.4338
5.0238 -0.0722 0.7553
3.9484 -2.2842 1.4655
7.0421 0.7934 6.9030
6.7795 0.7653 9.7140
4.1025 -2.4633 4.1674
4.9813 -2.4363 7.1748
4.8748 -2.3743 9.9820
7.3274 -0.7653 4.0355
7.5900 -0.7934 1.2245
```

Entry 4:
Diffraction record for SrH16O10. The XRD peak list is simulated, not measured: it uses a PBE-relaxed structure and λ = 1.5418 Å (Cu Kα).
Neutral-atom scattering factors, no anomalous dispersion.

Main lines, low angle first (10 to 90 degrees two-theta):
- 2θ = 14.09°, I 84
- 2θ = 15.27°, I 100
- 2θ = 20.61°, I 32
- 2θ = 24.81°, I 34
- 2θ = 25.29°, I 68
- 2θ = 25.57°, I 35
- 2θ = 32.10°, I 36
- 2θ = 32.73°, I 48
- 2θ = 32.93°, I 29
- 2θ = 37.04°, I 32
- 2θ = 45.55°, I 45
- 2θ = 45.73°, I 37

Structural model:
```
SrH16O10
1.0
4.4604 -4.4309 0.0000
4.4604 4.4309 0.0000
-0.3561 0.0000 11.6018
Sr H O
2 32 20
Cartesian
0.0000 0.0000 0.0000
-0.1780 0.0000 5.8009
2.3332 2.3039 10.2944
1.9272 1.7972 7.1495
1.6596 0.9659 3.3957
3.3588 2.6240 2.4040
2.7816 0.5216 4.5157
3.8912 1.5108 1.2790
3.6767 1.5180 10.3196
2.7278 0.4646 7.0560
1.4816 -0.9659 9.1966
5.3840 2.6240 3.3969
4.7101 1.5180 7.0831
2.9058 -0.4646 1.2551
2.6035 -0.5216 10.3166
4.8517 1.5108 4.5219
2.1052 -1.7972 1.3486
6.0536 2.3039 7.1083
2.5112 -2.3039 4.4935
6.4596 1.7972 10.2532
3.7132 -1.5108 7.0799
5.9613 0.5216 1.2851
5.6590 0.4646 10.3466
3.8547 -1.5180 4.5187
3.1808 -2.6240 8.2049
7.0832 0.9659 2.4052
5.8371 -0.4646 4.5458
4.8881 -1.5180 1.2822
4.6736 -1.5108 10.3228
5.7832 -0.5216 7.0860
5.2060 -2.6240 9.1978
6.9052 -0.9659 8.2061
6.6376 -1.7972 4.4523
6.2316 -2.3039 1.3074
1.8665 0.9452 4.3581
3.5183 2.4520 1.4507
3.2997 2.4340 10.1268
1.8119 0.8180 7.2999
1.9899 -0.8180 1.4990
5.0870 2.4340 7.2759
5.2245 2.4520 4.3502
1.6884 -0.9452 10.1590
4.3010 0.0374 5.0460
4.4418 0.0373 0.7549
4.1230 -0.0373 10.8469
4.2638 -0.0373 6.5557
6.8764 0.9452 1.4428
3.3403 -2.4520 7.2516
3.4778 -2.4340 4.3259
6.5749 0.8180 10.1028
6.7529 -0.8180 4.3019
5.2651 -2.4340 1.4750
5.0465 -2.4520 10.1511
6.6984 -0.9452 7.2437
```

Entry 5:
Diffraction record for SrH16O10. The XRD peak list is simulated, not measured: it uses a PBE-relaxed structure and λ = 1.5418 Å (Cu Kα).
Neutral-atom scattering factors, no anomalous dispersion.

Main lines, low angle first (10 to 90 degrees two-theta):
- 2θ = 14.07°, I 77
- 2θ = 19.17°, I 82
- 2θ = 19.45°, I 81
- 2θ = 19.94°, I 100
- 2θ = 23.95°, I 13
- 2θ = 34.37°, I 40
- 2θ = 38.91°, I 47
- 2θ = 39.38°, I 24
- 2θ = 39.58°, I 23
- 2θ = 40.44°, I 24
- 2θ = 40.60°, I 23
- 2θ = 54.11°, I 13

Structural model:
```
SrH16O10
1.0
6.2828 0.0000 0.0000
-0.0224 6.3112 0.0000
-0.1104 -0.0779 6.7264
Sr H O
1 16 10
Cartesian
0.0000 0.0000 0.0000
0.4325 4.4889 4.6902
0.4797 4.6241 2.1827
1.6914 0.4530 2.1497
1.7028 0.4074 4.6884
2.0356 4.2189 2.1027
2.0613 2.0310 2.1097
2.0145 4.1748 4.7107
2.0448 1.9834 4.7185
4.1816 4.2691 2.1261
4.1745 4.0823 4.6622
4.2346 2.0648 2.1265
4.2042 2.0213 4.6962
4.5136 5.8673 2.0828
4.6937 5.5516 4.3375
5.8022 1.6404 2.1686
5.7896 1.7343 4.6647
1.3400 4.8915 1.7906
1.3006 4.8262 5.0213
1.3897 1.3281 1.8096
1.4057 1.2724 5.0562
3.0929 3.0928 4.1540
3.1317 3.1305 2.6556
4.8373 4.9763 1.8039
4.9213 1.3849 1.8038
4.8788 4.7914 4.9229
4.9365 1.3923 5.0083
```

Entry 6:
Diffraction record for SrH16O10. The XRD peak list is simulated, not measured: it uses a PBE-relaxed structure and λ = 1.5418 Å (Cu Kα).
Neutral-atom scattering factors, no anomalous dispersion.

Main lines, low angle first (10 to 90 degrees two-theta):
- 2θ = 13.67°, I 84
- 2θ = 15.12°, I 100
- 2θ = 18.85°, I 42
- 2θ = 19.88°, I 37
- 2θ = 20.58°, I 31
- 2θ = 24.25°, I 73
- 2θ = 31.11°, I 28
- 2θ = 31.37°, I 37
- 2θ = 31.74°, I 35
- 2θ = 41.29°, I 40
- 2θ = 41.85°, I 35
- 2θ = 44.91°, I 37

Structural model:
```
SrH16O10
1.0
4.4659 -4.7082 0.0000
4.4659 4.7082 0.0000
-0.2181 0.0000 11.7156
Sr H O
2 32 20
Cartesian
4.3569 4.5955 5.8578
4.4659 -4.5955 0.0000
2.9245 2.6501 10.1731
2.1823 1.5235 1.8204
1.9738 1.2362 4.0002
3.7729 2.6042 8.2266
3.9589 1.6673 6.9529
5.0369 2.6752 2.3159
3.1954 0.5432 1.0695
4.0363 1.5653 10.5226
3.0400 0.3111 4.7448
5.8621 3.0996 4.1570
1.8648 -1.2362 9.8580
4.9584 1.7387 4.5066
2.9310 -0.3111 10.6026
2.0733 -1.5235 7.6782
3.0864 -0.5432 6.9272
6.1085 2.3903 1.2146
5.7038 0.4542 6.9175
3.0336 -2.6501 4.3153
4.0679 -1.6673 1.0951
4.1453 -1.5653 4.6648
7.0700 1.5659 7.0536
5.8725 0.2643 10.4027
5.8128 -0.4542 1.0597
5.9815 -0.2643 4.5449
3.8819 -2.6043 2.3688
6.7713 0.5364 9.0684
4.8494 -1.7387 10.3644
6.8803 -0.5364 3.2107
4.9279 -2.6752 8.1737
5.9995 -2.3903 7.0724
7.1791 -1.5659 1.1959
5.7531 -3.0996 10.0148
3.6167 2.5978 7.2527
2.2965 1.0089 1.0025
3.8826 2.4754 10.1252
2.0510 0.3594 4.4276
1.9420 -0.3594 10.2854
4.9919 2.6653 4.0785
5.2140 2.7712 1.3439
2.1875 -1.0089 6.8603
4.5111 0.2883 6.5896
4.5094 0.2078 5.1039
4.4004 -0.2078 10.9617
4.6202 -0.2883 0.7318
3.7257 -2.5978 1.3949
6.8269 0.6501 7.2941
3.9916 -2.4754 4.2675
6.8040 0.4452 10.0632
6.9130 -0.4452 4.2054
6.9359 -0.6500 1.4363
4.8828 -2.6653 9.9363
5.1050 -2.7712 7.2017
```

Entry 7:
Diffraction record for SrH16O10. The XRD peak list is simulated, not measured: it uses a PBE-relaxed structure and λ = 1.5418 Å (Cu Kα).
Neutral-atom scattering factors, no anomalous dispersion.

Main lines, low angle first (10 to 90 degrees two-theta):
- 2θ = 14.00°, I 70
- 2θ = 15.82°, I 83
- 2θ = 19.84°, I 46
- 2θ = 21.18°, I 57
- 2θ = 25.45°, I 100
- 2θ = 25.58°, I 33
- 2θ = 32.45°, I 35
- 2θ = 32.59°, I 87
- 2θ = 35.50°, I 29
- 2θ = 37.86°, I 43
- 2θ = 45.27°, I 34
- 2θ = 45.37°, I 33

Structural model:
```
SrH16O10
1.0
4.4672 -4.4821 0.0000
4.4672 4.4821 0.0000
-0.0627 0.0000 11.2015
Sr H O
2 32 20
Cartesian
4.4358 4.4646 5.6008
4.4672 -4.4646 0.0000
2.1211 1.8664 9.8028
2.6041 2.2958 4.2042
1.9823 0.7755 8.0199
3.6873 2.4527 2.4147
2.9411 0.5149 6.7573
3.9433 1.4914 1.1622
2.9309 0.5073 10.0217
3.9556 1.4862 4.4184
2.0137 -0.7755 2.4191
5.1855 2.4302 8.8009
4.9612 1.5792 10.1291
4.9287 1.4857 6.7607
2.9724 -0.5149 1.1565
2.9623 -0.5073 4.4209
6.2786 2.3119 6.9785
2.1524 -1.8664 4.2020
6.7581 1.8646 1.3649
2.5727 -2.2958 9.8050
3.9119 -1.4914 6.7630
3.9242 -1.4862 10.0191
5.9493 0.4989 1.1572
5.9335 0.5045 4.4133
6.8926 0.7735 3.1481
3.6559 -2.4527 8.0155
4.9600 -1.4857 1.1599
5.9180 -0.4989 6.7580
5.9021 -0.5045 10.0141
4.9926 -1.5792 4.5283
5.2169 -2.4302 3.2001
6.8613 -0.7735 8.7489
6.3099 -2.3119 1.3778
6.7267 -1.8646 6.9657
2.0277 0.8854 7.0198
3.5789 2.4087 1.4155
2.0147 0.8716 9.7424
3.5980 2.4035 4.1374
5.2841 2.4000 7.0638
5.3278 2.4623 9.7996
2.0460 -0.8716 4.1416
2.0591 -0.8854 1.4190
4.4126 0.0129 10.4551
4.4410 0.0191 6.3520
4.4440 -0.0129 4.8543
4.4723 -0.0191 0.7512
3.5476 -2.4087 7.0163
6.8456 0.8777 4.1474
3.5666 -2.4035 9.7382
6.8676 0.8691 1.4219
5.3155 -2.4000 1.4630
6.8142 -0.8777 9.7482
6.8363 -0.8691 7.0227
5.3592 -2.4623 4.1988
```

> What is the formula in the seventh record?

SrH16O10

Repeat the fifth record exactly.
Diffraction record for SrH16O10. The XRD peak list is simulated, not measured: it uses a PBE-relaxed structure and λ = 1.5418 Å (Cu Kα).
Neutral-atom scattering factors, no anomalous dispersion.

Main lines, low angle first (10 to 90 degrees two-theta):
- 2θ = 14.07°, I 77
- 2θ = 19.17°, I 82
- 2θ = 19.45°, I 81
- 2θ = 19.94°, I 100
- 2θ = 23.95°, I 13
- 2θ = 34.37°, I 40
- 2θ = 38.91°, I 47
- 2θ = 39.38°, I 24
- 2θ = 39.58°, I 23
- 2θ = 40.44°, I 24
- 2θ = 40.60°, I 23
- 2θ = 54.11°, I 13

Structural model:
```
SrH16O10
1.0
6.2828 0.0000 0.0000
-0.0224 6.3112 0.0000
-0.1104 -0.0779 6.7264
Sr H O
1 16 10
Cartesian
0.0000 0.0000 0.0000
0.4325 4.4889 4.6902
0.4797 4.6241 2.1827
1.6914 0.4530 2.1497
1.7028 0.4074 4.6884
2.0356 4.2189 2.1027
2.0613 2.0310 2.1097
2.0145 4.1748 4.7107
2.0448 1.9834 4.7185
4.1816 4.2691 2.1261
4.1745 4.0823 4.6622
4.2346 2.0648 2.1265
4.2042 2.0213 4.6962
4.5136 5.8673 2.0828
4.6937 5.5516 4.3375
5.8022 1.6404 2.1686
5.7896 1.7343 4.6647
1.3400 4.8915 1.7906
1.3006 4.8262 5.0213
1.3897 1.3281 1.8096
1.4057 1.2724 5.0562
3.0929 3.0928 4.1540
3.1317 3.1305 2.6556
4.8373 4.9763 1.8039
4.9213 1.3849 1.8038
4.8788 4.7914 4.9229
4.9365 1.3923 5.0083
```

> Number 2 is which compound?

SrH16O10